Record 1
Simulated powder XRD pattern
Compound: Na4Sb2C4SO16
Radiation: λ = 1.5418 Å (Cu Kα)
Structure: DFT lattice parameters and positions (GGA-PBE)
No peak broadening, texture or thermal motion is included.

Largest 6 diffraction maxima, sorted by position, 10 to 90 degrees two-theta:
d [Å], I_rel, hkl
8.400, 68, 1 0 0
8.321, 100, 1 -1 0
4.450, 54, 0 1 1
4.414, 70, 0 2 -1
4.368, 69, 2 0 -1
2.584, 83, 2 0 2

Structure:
a b c (Å): 10.109 10.186 10.190
angles (deg): 118.98 90.92 118.75
Space group P1 (No. 1)
Symmetry-distinct sites (fractional):
Na 0.000 0.000 0.000
Na 0.003 0.002 0.591
Na 0.148 0.503 0.843
Na 0.154 0.519 0.263
Na 0.390 0.004 0.004
Na 0.734 0.096 0.840
Na 0.737 0.495 0.842
Na 0.745 0.503 0.253
Sb 0.072 0.254 0.421
Sb 0.566 0.746 0.923
Sb 0.567 0.751 0.419
Sb 0.568 0.250 0.430
C 0.353 0.322 0.260
C 0.353 0.691 0.641
C 0.357 0.323 0.651
C 0.406 0.811 0.194
C 0.734 0.694 0.645
C 0.791 0.193 0.191
C 0.800 0.816 0.206
C 0.801 0.198 0.594
S 0.196 0.003 0.799
S 0.943 0.498 0.045
O 0.005 0.379 0.988
O 0.127 0.116 0.854
O 0.137 0.887 0.623
O 0.138 0.888 0.865
O 0.217 0.197 0.248
O 0.221 0.307 0.647
O 0.228 0.562 0.518
O 0.356 0.706 0.777
O 0.368 0.207 0.528
O 0.368 0.465 0.277
O 0.374 0.121 0.863
O 0.396 0.687 0.057
O 0.397 0.789 0.309
O 0.426 0.954 0.211
O 0.474 0.307 0.256
O 0.480 0.809 0.635
O 0.482 0.457 0.778
O 0.675 0.065 0.057
O 0.682 0.217 0.596
O 0.686 0.691 0.215
O 0.718 0.555 0.635
O 0.737 0.706 0.523
O 0.745 0.822 0.778
O 0.763 0.379 0.985
O 0.776 0.309 0.308
O 0.787 0.068 0.600
O 0.792 0.802 0.071
O 0.922 0.958 0.332
O 0.927 0.205 0.205
O 0.933 0.312 0.590
O 0.998 0.610 0.978
O 0.998 0.611 0.221

***

Record 2
Simulated powder XRD pattern
Compound: Na4Sb2C4SO16
Radiation: λ = 1.5418 Å (Cu Kα)
Structure: DFT lattice parameters and positions (GGA-PBE)
No peak broadening, texture or thermal motion is included.

Largest 6 diffraction maxima, sorted by position, 10 to 90 degrees two-theta:
d [Å], I_rel, hkl
8.380, 74, 1 1 1
4.401, 100, 1 3 1
4.327, 38, 3 1 1
4.190, 41, 2 2 2
2.755, 27, 5 1 1
2.556, 44, 4 4 0

Structure:
a b c (Å): 14.289 14.596 14.664
angles (deg): 90.00 90.00 90.00
Space group F222 (No. 22)
Symmetry-distinct sites (fractional):
Na 0.000 0.000 0.206
Na 0.000 0.207 0.000
Na 0.053 0.250 0.250
Na 0.205 0.000 0.000
Sb 0.130 0.122 0.623
C 0.095 0.093 0.406
C 0.148 0.152 0.846
S 0.000 0.000 0.000
S 0.250 0.250 0.250
O 0.033 0.101 0.342
O 0.060 0.059 0.059
O 0.088 0.219 0.856
O 0.097 0.152 0.472
O 0.140 0.094 0.779
O 0.155 0.026 0.406
O 0.188 0.191 0.191
O 0.216 0.142 0.905

***

Record 3
Simulated powder XRD pattern
Compound: Na6Sn2C4SO16
Radiation: λ = 1.5418 Å (Cu Kα)
Structure: DFT lattice parameters and positions (GGA-PBE)
No peak broadening, texture or thermal motion is included.

Largest 6 diffraction maxima, sorted by position, 10 to 90 degrees two-theta:
d [Å], I_rel, hkl
4.402, 100, 3 1 1
2.810, 69, 5 1 1
2.581, 80, 4 4 0
2.468, 34, 5 3 1
2.201, 36, 6 2 2
1.686, 30, 5 5 5

Structure:
a b c (Å): 14.600 14.600 14.600
angles (deg): 90.00 90.00 90.00
Space group Fd-3 (No. 203, origin choice 2)
Symmetry-distinct sites (fractional):
Na 0.082 0.375 0.375
Sn 0.000 0.000 0.500
C 0.021 0.021 0.729
S 0.125 0.125 0.125
O 0.021 0.292 0.584
O 0.066 0.066 0.066